The following is a computed powder XRD pattern of Li3FeSiCO7. It was derived from a structure optimized by DFT (PBE+U), using Cu Ka.
Lines closer than 0.1° are merged.

a = 5.0540 Å, b = 6.4410 Å, c = 8.3900 Å
α = 90.00°, β = 94.55°, γ = 90.00°
Sites, in units of the cell vectors:
Li: 0.2221 0.2500 0.1091
Li: 0.2490 0.5259 0.7213
Li: 0.2490 0.9741 0.7213
Li: 0.7510 0.0259 0.2787
Li: 0.7510 0.4741 0.2787
Li: 0.7779 0.7500 0.8909
Fe: 0.2012 0.7500 0.3356
Fe: 0.7988 0.2500 0.6644
Si: 0.2791 0.2500 0.4201
Si: 0.7209 0.7500 0.5799
C: 0.2998 0.7500 0.0350
C: 0.7002 0.2500 0.9650
O: 0.0532 0.7500 0.0667
O: 0.1650 0.2500 0.5968
O: 0.1747 0.0543 0.3059
O: 0.1747 0.4457 0.3059
O: 0.3722 0.7500 0.8906
O: 0.3920 0.7500 0.5521
O: 0.4782 0.7500 0.1567
O: 0.5218 0.2500 0.8433
O: 0.6080 0.2500 0.4479
O: 0.6278 0.2500 0.1094
O: 0.8253 0.5543 0.6941
O: 0.8253 0.9457 0.6941
O: 0.8350 0.7500 0.4032
O: 0.9468 0.2500 0.9333

Principal peaks in the range 5° ≤ 2θ ≤ 70°, by angle:
two_theta	d/Å	Rel. int.	h k l
10.58	8.364	85	0 0 1
17.38	5.103	38	0 1 1
19.84	4.475	35	1 0 -1
21.30	4.172	56	1 0 1
26.60	3.351	33	1 0 -2
27.70	3.221	100	0 2 0
35.61	2.522	29	2 0 0
36.42	2.467	31	2 0 -1